1.
MgHgSe2: theoretical powder diffractogram (Cu Kα (weighted mean of Kα1 and Kα2)), based on the GGA-PBE geometry in Alexandria.
Neutral-atom scattering factors, no anomalous dispersion.

Largest 10 diffraction maxima, by angle, 10° ≤ 2θ ≤ 90°:
2θ 17.6, intensity 68; 2θ 27.6, intensity 50; 2θ 29.9, intensity 56; 2θ 32.2, intensity 100; 2θ 36.9, intensity 23; 2θ 42.8, intensity 31; 2θ 44.5, intensity 75; 2θ 46.1, intensity 37; 2θ 56.0, intensity 38; 2θ 84.3, intensity 24

Crystal structure
```
MgHgSe2
1.0
-2.7836 2.7836 5.9675
2.7836 -2.7836 5.9675
2.7836 2.7836 -5.9675
Mg Hg Se
2 2 4
direct
0.3750 0.6250 0.7500
0.6250 0.3750 0.2500
0.1250 0.8750 0.2500
0.8750 0.1250 0.7500
0.1420 0.3920 0.7500
0.3920 0.1420 0.2500
0.6080 0.8580 0.7500
0.8580 0.6080 0.2500
```

---

2.
K2SmNpS4: theoretical powder diffractogram (Cu Kα (weighted mean of Kα1 and Kα2)), based on the GGA-PBE geometry in Alexandria.
Neutral-atom scattering factors, no anomalous dispersion.

Largest 10 diffraction maxima, by angle, 10° ≤ 2θ ≤ 90°:
2θ 12.0, intensity 88; 2θ 24.2, intensity 19; 2θ 25.2, intensity 34; 2θ 26.2, intensity 43; 2θ 29.8, intensity 100; 2θ 38.0, intensity 22; 2θ 41.3, intensity 36; 2θ 43.9, intensity 35; 2θ 45.6, intensity 21; 2θ 53.9, intensity 18

Crystal structure
```
K2SmNpS4
1.0
7.1516 0.0000 0.0000
0.0000 4.1271 0.0000
-2.3960 0.0000 7.3693
K Sm Np S
2 1 1 4
direct
0.0000 0.0000 0.0000
0.5000 0.5000 0.0000
0.0000 0.5000 0.5000
0.5000 0.0000 0.5000
0.2370 0.0000 0.7056
0.2697 0.5000 0.2984
0.7303 0.5000 0.7016
0.7630 0.0000 0.2944
```